# 1
# LaCe5Pb3
Computed X-ray diffraction stick pattern, Cu Kα (λ = 1.5418 Å). Input: a cell relaxed with GGA-PBE.

```
LaCe5Pb3
1.0
9.684 0.000 0.000
-4.842 8.387 0.000
0.000 0.000 6.752
La Ce Pb
2 10 6
Direct
0.000 0.000 0.000 La
0.000 0.000 0.500 La
0.000 0.338 0.250 Ce
0.000 0.662 0.750 Ce
0.333 0.667 0.000 Ce
0.333 0.667 0.500 Ce
0.338 0.000 0.250 Ce
0.338 0.338 0.750 Ce
0.662 0.000 0.750 Ce
0.662 0.662 0.250 Ce
0.667 0.333 0.000 Ce
0.667 0.333 0.500 Ce
0.000 0.331 0.750 Pb
0.000 0.669 0.250 Pb
0.331 0.000 0.750 Pb
0.331 0.331 0.250 Pb
0.669 0.000 0.250 Pb
0.669 0.669 0.750 Pb
```

Main lines, low angle first (2θ = 15–90°):
2θ (°), I/Imax
26.4, 9.8
32.0, 100.0
32.3, 80.9
42.0, 17.6
46.1, 30.3
54.3, 7.6
57.1, 19.5
57.3, 31.9
64.5, 27.1
66.9, 12.1
76.3, 13.8
82.7, 13.8



# 2
# TbNp2O11
Computed X-ray diffraction stick pattern, Cu Kα (λ = 1.5418 Å). Input: a cell relaxed with GGA-PBE.

```
TbNp2O11
1.0
5.080 -6.683 0.000
5.080 6.683 0.000
-0.007 0.000 6.675
Tb Np O
2 4 22
Direct
0.000 0.000 0.000 Tb
0.639 0.361 0.500 Tb
0.134 0.346 0.444 Np
0.504 0.011 0.052 Np
0.654 0.866 0.556 Np
0.989 0.496 0.948 Np
0.021 0.727 0.943 O
0.096 0.153 0.283 O
0.153 0.508 0.651 O
0.153 0.512 0.152 O
0.191 0.146 0.719 O
0.273 0.979 0.057 O
0.314 0.257 0.824 O
0.365 0.379 0.435 O
0.465 0.231 0.793 O
0.488 0.847 0.848 O
0.492 0.847 0.349 O
0.537 0.195 0.227 O
0.621 0.635 0.565 O
0.663 0.093 0.584 O
0.731 0.026 0.072 O
0.743 0.686 0.176 O
0.769 0.535 0.207 O
0.805 0.463 0.773 O
0.847 0.904 0.717 O
0.854 0.809 0.281 O
0.907 0.337 0.416 O
0.974 0.269 0.928 O
```

Main lines, low angle first (2θ = 15–90°):
2θ (°), I/Imax
17.2, 29.8
17.5, 35.4
18.8, 29.6
22.0, 45.0
25.8, 100.0
26.7, 25.1
28.9, 25.7
29.9, 45.6
34.8, 39.7
44.4, 22.1
46.5, 21.9
47.0, 37.4



# 3
# Al4Te7I
Computed X-ray diffraction stick pattern, Cu Kα (λ = 1.5418 Å). Input: a cell relaxed with GGA-PBE.

```
Al4Te7I
1.0
15.586 0.000 0.000
0.000 7.690 0.000
0.000 0.000 7.236
Al Te I
8 14 2
Direct
0.142 0.153 0.000 Al
0.244 0.677 0.974 Al
0.256 0.323 0.474 Al
0.358 0.847 0.500 Al
0.642 0.847 0.500 Al
0.744 0.323 0.474 Al
0.756 0.677 0.974 Al
0.858 0.153 0.000 Al
0.000 0.359 0.001 Te
0.113 0.856 0.838 Te
0.132 0.123 0.358 Te
0.232 0.651 0.352 Te
0.268 0.349 0.852 Te
0.368 0.877 0.858 Te
0.387 0.144 0.338 Te
0.500 0.641 0.501 Te
0.613 0.144 0.338 Te
0.632 0.877 0.858 Te
0.732 0.349 0.852 Te
0.768 0.651 0.352 Te
0.868 0.123 0.358 Te
0.887 0.856 0.838 Te
0.000 0.462 0.629 I
0.500 0.538 0.129 I
```

Main lines, low angle first (2θ = 15–90°):
2θ (°), I/Imax
24.6, 37.4
25.6, 95.6
26.2, 100.0
27.2, 40.2
28.5, 86.2
28.9, 19.8
29.6, 22.3
42.2, 34.6
44.1, 20.0
45.8, 19.9
49.5, 30.2
54.3, 20.3



# 4
# Rb2TcAsCl6
Computed X-ray diffraction stick pattern, Cu Kα (λ = 1.5418 Å). Input: a cell relaxed with GGA-PBE.

```
Rb2TcAsCl6
1.0
-3.573 3.573 5.737
3.573 -3.573 5.737
3.573 3.573 -5.737
Rb Tc As Cl
2 1 1 6
Direct
0.250 0.750 0.500 Rb
0.750 0.250 0.500 Rb
0.000 0.000 0.000 Tc
0.500 0.500 0.000 As
0.212 0.212 0.000 Cl
0.247 0.247 0.493 Cl
0.247 0.753 0.000 Cl
0.753 0.247 0.000 Cl
0.753 0.753 0.507 Cl
0.788 0.788 0.000 Cl
```

Main lines, low angle first (2θ = 15–90°):
2θ (°), I/Imax
23.5, 100.0
24.9, 40.7
29.5, 29.5
31.2, 43.1
35.5, 66.1
40.3, 18.6
43.0, 40.6
48.0, 47.8
51.1, 38.6
61.1, 22.3
63.8, 17.5
86.0, 17.2



# 5
# Cd3In10Sn3
Computed X-ray diffraction stick pattern, Cu Kα (λ = 1.5418 Å). Input: a cell relaxed with GGA-PBE.

```
Cd3In10Sn3
1.0
9.033 0.000 0.000
-4.517 7.823 0.000
0.000 0.000 6.226
Cd In Sn
3 10 3
Direct
0.000 0.606 0.000 Cd
0.394 0.394 0.000 Cd
0.606 0.000 0.000 Cd
0.000 0.235 0.000 In
0.000 0.781 0.500 In
0.219 0.219 0.500 In
0.235 0.000 0.000 In
0.333 0.667 0.244 In
0.333 0.667 0.756 In
0.667 0.333 0.244 In
0.667 0.333 0.756 In
0.765 0.765 0.000 In
0.781 0.000 0.500 In
0.000 0.416 0.500 Sn
0.416 0.000 0.500 Sn
0.584 0.584 0.500 Sn
```

Main lines, low angle first (2θ = 15–90°):
2θ (°), I/Imax
28.7, 16.7
30.2, 33.0
30.9, 13.5
33.6, 100.0
34.4, 24.7
35.0, 56.9
36.9, 10.7
42.6, 11.3
49.9, 12.0
54.0, 25.3
59.4, 13.6
66.9, 20.3



# 6
# AlGaF4
Computed X-ray diffraction stick pattern, Cu Kα (λ = 1.5418 Å). Input: a cell relaxed with GGA-PBE.

```
AlGaF4
1.0
1.853 -8.293 0.000
1.853 8.293 0.000
0.000 0.000 5.543
Al Ga F
2 2 8
Direct
0.074 0.926 0.750 Al
0.926 0.074 0.250 Al
0.307 0.693 0.750 Ga
0.693 0.307 0.250 Ga
0.000 0.000 0.000 F
0.000 0.000 0.500 F
0.152 0.848 0.523 F
0.152 0.848 0.977 F
0.430 0.570 0.250 F
0.570 0.430 0.750 F
0.848 0.152 0.023 F
0.848 0.152 0.477 F
```

Main lines, low angle first (2θ = 15–90°):
2θ (°), I/Imax
26.9, 100.0
29.5, 69.8
32.3, 15.2
36.3, 17.4
41.0, 16.8
44.0, 25.2
45.4, 13.3
49.2, 20.6
49.4, 27.2
54.4, 15.9
55.3, 18.1
56.9, 22.6